Entry 1:
For Lu2HfSn, the GGA-PBE geometry in Alexandria gives the calculated powder diffractogram in this record (a wavelength of 1.5418 Å).

Top 12 peaks for 2θ from 10° to 90°, by angle:
| two_theta | I (rel.) |
| --- | --- |
| 18.92 | 1 |
| 28.78 | 1 |
| 33.28 | 100 |
| 38.37 | 17 |
| 38.74 | 33 |
| 55.67 | 24 |
| 55.94 | 12 |
| 66.17 | 14 |
| 66.67 | 28 |
| 69.88 | 12 |
| 82.19 | 2 |
| 83.10 | 4 |

Atomic structure:
Cell lengths 3.2874, 3.2874, 9.3831 Å; angles 90.00, 90.00, 90.00 degrees
Positions (direct):
Lu 0.0000 0.0000 0.2487
Lu 0.0000 0.0000 0.7513
Hf 0.5000 0.5000 0.0000
Sn 0.5000 0.5000 0.5000

Entry 2:
For K4NaH5, the GGA-PBE geometry in Alexandria gives the calculated powder diffractogram in this record (a wavelength of 1.5418 Å).

Top 12 peaks for 2θ from 10° to 90°, by angle:
| two_theta | I (rel.) |
| --- | --- |
| 28.08 | 32 |
| 28.30 | 100 |
| 32.73 | 77 |
| 46.82 | 22 |
| 47.10 | 25 |
| 55.48 | 11 |
| 55.73 | 24 |
| 55.86 | 12 |
| 58.53 | 11 |
| 76.00 | 9 |
| 77.88 | 7 |
| 78.30 | 9 |

Atomic structure:
Cell lengths 16.0453, 16.0453, 16.0453 Å; angles 13.81, 13.81, 13.81 degrees
Positions (direct):
K 0.1040 0.1040 0.1040
K 0.2987 0.2987 0.2987
K 0.7013 0.7013 0.7013
K 0.8960 0.8960 0.8960
Na 0.5000 0.5000 0.5000
H 0.0000 0.0000 0.0000
H 0.1941 0.1941 0.1941
H 0.4028 0.4028 0.4028
H 0.5972 0.5972 0.5972
H 0.8059 0.8059 0.8059

Entry 3:
For KLaP4O12, the GGA-PBE geometry in Alexandria gives the calculated powder diffractogram in this record (a wavelength of 1.5418 Å).

Top 12 peaks for 2θ from 10° to 90°, by angle:
| two_theta | I (rel.) |
| --- | --- |
| 14.87 | 77 |
| 15.67 | 48 |
| 15.83 | 40 |
| 16.35 | 57 |
| 21.73 | 29 |
| 25.96 | 100 |
| 26.29 | 72 |
| 26.58 | 49 |
| 27.96 | 74 |
| 28.57 | 62 |
| 34.47 | 30 |
| 40.24 | 33 |

Atomic structure:
Cell lengths 7.4498, 8.6909, 8.1853 Å; angles 90.00, 91.84, 90.00 degrees
Positions (direct):
K 0.2312 0.0000 0.2831
K 0.7688 0.5000 0.7169
La 0.2636 0.6829 0.7587
La 0.7364 0.1829 0.2413
P 0.0694 0.0592 0.9022
P 0.1198 0.4341 0.3933
P 0.3992 0.2579 0.8917
P 0.4984 0.5341 0.3821
P 0.5016 0.0341 0.6179
P 0.6008 0.7579 0.1083
P 0.8802 0.9341 0.6067
P 0.9306 0.5592 0.0978
O 0.0374 0.2817 0.3498
O 0.0437 0.5655 0.2688
O 0.0542 0.5940 0.9610
O 0.1065 0.4948 0.5639
O 0.1833 0.9181 0.9252
O 0.1912 0.2094 0.8697
O 0.3274 0.4250 0.3432
O 0.3376 0.9335 0.6136
O 0.4139 0.4169 0.8229
O 0.4652 0.2259 0.0640
O 0.4693 0.6308 0.5312
O 0.4902 0.6402 0.2213
O 0.5098 0.1402 0.7787
O 0.5307 0.1308 0.4688
O 0.5348 0.7259 0.9360
O 0.5861 0.9169 0.1771
O 0.6624 0.4335 0.3864
O 0.6726 0.9250 0.6568
O 0.8088 0.7094 0.1303
O 0.8167 0.4181 0.0748
O 0.8935 0.9948 0.4361
O 0.9458 0.0940 0.0390
O 0.9563 0.0655 0.7312
O 0.9626 0.7817 0.6502

Entry 4:
For AlB2Pb6O7F7, the GGA-PBE geometry in Alexandria gives the calculated powder diffractogram in this record (a wavelength of 1.5418 Å).

Top 12 peaks for 2θ from 10° to 90°, by angle:
| two_theta | I (rel.) |
| --- | --- |
| 19.07 | 36 |
| 26.68 | 100 |
| 27.69 | 45 |
| 28.67 | 85 |
| 29.99 | 50 |
| 33.00 | 18 |
| 33.84 | 23 |
| 43.20 | 17 |
| 45.36 | 17 |
| 47.23 | 17 |
| 48.36 | 21 |
| 49.60 | 33 |

Atomic structure:
Cell lengths 11.0737, 11.0737, 6.4430 Å; angles 90.00, 90.00, 114.43 degrees
Positions (direct):
Al 0.2445 0.7555 0.5000
Al 0.7555 0.2445 0.0000
B 0.2532 0.2634 0.8063
B 0.2634 0.2532 0.3063
B 0.7366 0.7468 0.8063
B 0.7468 0.7366 0.3063
Pb 0.0008 0.3030 0.5587
Pb 0.0705 0.9295 0.5151
Pb 0.1861 0.4635 0.0439
Pb 0.3030 0.0008 0.0587
Pb 0.4484 0.5516 0.5381
Pb 0.4635 0.1861 0.5439
Pb 0.5365 0.8139 0.0439
Pb 0.5516 0.4484 0.0381
Pb 0.6970 0.9992 0.5587
Pb 0.8139 0.5365 0.5439
Pb 0.9295 0.0705 0.0151
Pb 0.9992 0.6970 0.0587
O 0.1174 0.2302 0.7943
O 0.1704 0.3049 0.2821
O 0.1713 0.8287 0.2918
O 0.2302 0.1174 0.2943
O 0.3049 0.1704 0.7821
O 0.3357 0.3954 0.8519
O 0.3954 0.3357 0.3519
O 0.6046 0.6643 0.8519
O 0.6643 0.6046 0.3519
O 0.6951 0.8296 0.2821
O 0.7698 0.8826 0.7943
O 0.8287 0.1713 0.7918
O 0.8296 0.6951 0.7821
O 0.8826 0.7698 0.2943
F 0.0830 0.7014 0.6443
F 0.0837 0.9163 0.9413
F 0.1821 0.5926 0.3700
F 0.2986 0.9170 0.6443
F 0.3116 0.6884 0.7121
F 0.4074 0.8179 0.3700
F 0.4110 0.5890 0.1553
F 0.5890 0.4110 0.6553
F 0.5926 0.1821 0.8700
F 0.6884 0.3116 0.2121
F 0.7014 0.0830 0.1443
F 0.8179 0.4074 0.8700
F 0.9163 0.0837 0.4413
F 0.9170 0.2986 0.1443

Entry 5:
For Ce3ThTl, the GGA-PBE geometry in Alexandria gives the calculated powder diffractogram in this record (a wavelength of 1.5418 Å).

Top 12 peaks for 2θ from 10° to 90°, by angle:
| two_theta | I (rel.) |
| --- | --- |
| 32.09 | 59 |
| 32.72 | 100 |
| 35.35 | 22 |
| 42.86 | 13 |
| 43.90 | 12 |
| 48.95 | 17 |
| 55.83 | 12 |
| 58.03 | 11 |
| 58.41 | 18 |
| 65.90 | 21 |
| 68.59 | 11 |
| 84.79 | 10 |

Atomic structure:
Cell lengths 8.3645, 8.3645, 6.6271 Å; angles 90.00, 90.00, 141.83 degrees
Positions (direct):
Ce 0.0955 0.9045 0.5338
Ce 0.0955 0.9045 0.9662
Ce 0.3104 0.6896 0.7500
Ce 0.6896 0.3104 0.2500
Ce 0.9045 0.0955 0.0338
Ce 0.9045 0.0955 0.4662
Th 0.4978 0.5022 0.2500
Th 0.5022 0.4978 0.7500
Tl 0.2905 0.7095 0.2500
Tl 0.7095 0.2905 0.7500

Entry 6:
For Tm2Ag3SnSe6, the GGA-PBE geometry in Alexandria gives the calculated powder diffractogram in this record (a wavelength of 1.5418 Å).

Top 12 peaks for 2θ from 10° to 90°, by angle:
| two_theta | I (rel.) |
| --- | --- |
| 26.52 | 9 |
| 30.16 | 54 |
| 31.42 | 100 |
| 43.70 | 39 |
| 44.41 | 19 |
| 44.53 | 37 |
| 45.66 | 18 |
| 54.62 | 20 |
| 54.99 | 10 |
| 56.39 | 9 |
| 65.59 | 12 |
| 71.22 | 9 |

Atomic structure:
Cell lengths 9.2896, 9.2896, 7.9509 Å; angles 100.96, 100.96, 25.37 degrees
Positions (direct):
Tm 0.1674 0.1674 0.3324
Tm 0.8326 0.8326 0.6676
Ag 0.1764 0.1764 0.8326
Ag 0.5000 0.5000 0.5000
Ag 0.8236 0.8236 0.1674
Sn 0.5000 0.5000 0.0000
Se 0.0042 0.0042 0.2608
Se 0.3280 0.3280 0.4172
Se 0.3373 0.3373 0.9196
Se 0.6627 0.6627 0.0804
Se 0.6720 0.6720 0.5828
Se 0.9958 0.9958 0.7392

Entry 7:
For Pr5YZn6, the GGA-PBE geometry in Alexandria gives the calculated powder diffractogram in this record (a wavelength of 1.5418 Å).

Top 12 peaks for 2θ from 10° to 90°, by angle:
| two_theta | I (rel.) |
| --- | --- |
| 24.11 | 14 |
| 34.33 | 100 |
| 34.47 | 20 |
| 49.37 | 21 |
| 55.61 | 3 |
| 61.42 | 21 |
| 61.57 | 7 |
| 61.68 | 14 |
| 72.39 | 9 |
| 82.56 | 9 |
| 82.68 | 6 |
| 82.88 | 3 |

Atomic structure:
Cell lengths 8.2711, 8.2711, 7.3898 Å; angles 90.00, 90.00, 143.33 degrees
Positions (direct):
Pr 0.0000 0.0000 0.0000
Pr 0.3314 0.6686 0.0000
Pr 0.3342 0.6658 0.5000
Pr 0.6658 0.3342 0.5000
Pr 0.6686 0.3314 0.0000
Y 0.0000 0.0000 0.5000
Zn 0.1627 0.8373 0.2547
Zn 0.1627 0.8373 0.7453
Zn 0.5000 0.5000 0.2589
Zn 0.5000 0.5000 0.7411
Zn 0.8373 0.1627 0.2547
Zn 0.8373 0.1627 0.7453

Entry 8:
For Th2Ga3Ni4, the GGA-PBE geometry in Alexandria gives the calculated powder diffractogram in this record (a wavelength of 1.5418 Å).

Top 12 peaks for 2θ from 10° to 90°, by angle:
| two_theta | I (rel.) |
| --- | --- |
| 21.12 | 34 |
| 22.97 | 22 |
| 30.89 | 26 |
| 34.78 | 25 |
| 35.06 | 46 |
| 35.52 | 100 |
| 36.29 | 46 |
| 39.52 | 34 |
| 40.87 | 46 |
| 41.31 | 59 |
| 51.66 | 22 |
| 58.98 | 23 |

Atomic structure:
Cell lengths 8.2412, 8.2412, 6.9119 Å; angles 90.00, 90.00, 139.96 degrees
Positions (direct):
Th 0.1080 0.8920 0.9164
Th 0.3920 0.6080 0.4164
Th 0.6080 0.3920 0.5836
Th 0.8920 0.1080 0.0836
Ga 0.0000 0.0000 0.5000
Ga 0.0185 0.4815 0.7500
Ga 0.4815 0.0185 0.2500
Ga 0.5000 0.5000 0.0000
Ga 0.5185 0.9815 0.7500
Ga 0.9815 0.5185 0.2500
Ni 0.1691 0.8309 0.5164
Ni 0.1799 0.3201 0.7500
Ni 0.3201 0.1799 0.2500
Ni 0.3309 0.6691 0.0164
Ni 0.6691 0.3309 0.9836
Ni 0.6799 0.8201 0.7500
Ni 0.8201 0.6799 0.2500
Ni 0.8309 0.1691 0.4836